Entry 1:
Ge3Rh2S3: computed PXRD pattern (a wavelength of 1.5418 Å), based on a crystal structure in the Materials Project, relaxed with GGA-PBE.
Neutral-atom scattering factors, no anomalous dispersion.

Structure:
```
data_Ge3Rh2S3
_cell_length_a 8.387
_cell_length_b 8.387
_cell_length_c 8.387
_cell_angle_alpha 89.91
_cell_angle_beta 89.91
_cell_angle_gamma 89.91
_symmetry_space_group_name_H-M 'P 1'
_symmetry_Int_Tables_number 1
_symmetry_space_group_name_Hall 'P 1'
loop_
_atom_site_label
_atom_site_fract_x
_atom_site_fract_y
_atom_site_fract_z
Ge1 0.002 0.145 0.659
Ge2 0.145 0.659 0.002
Ge3 0.160 0.501 0.355
Ge4 0.341 0.998 0.855
Ge5 0.355 0.160 0.501
Ge6 0.499 0.645 0.840
Ge7 0.501 0.355 0.160
Ge8 0.645 0.840 0.499
Ge9 0.659 0.002 0.145
Ge10 0.840 0.499 0.645
Ge11 0.855 0.341 0.998
Ge12 0.998 0.855 0.341
Rh1 0.246 0.747 0.747
Rh2 0.248 0.248 0.248
Rh3 0.253 0.253 0.754
Rh4 0.253 0.754 0.253
Rh5 0.747 0.246 0.747
Rh6 0.747 0.747 0.246
Rh7 0.752 0.752 0.752
Rh8 0.754 0.253 0.253
S1 0.003 0.141 0.355
S2 0.141 0.355 0.003
S3 0.145 0.500 0.641
S4 0.355 0.003 0.141
S5 0.359 0.855 0.500
S6 0.500 0.359 0.855
S7 0.500 0.641 0.145
S8 0.641 0.145 0.500
S9 0.645 0.997 0.859
S10 0.855 0.500 0.359
S11 0.859 0.645 0.997
S12 0.997 0.859 0.645
```

Most intense lines, 10° ≤ 2θ ≤ 90°, by angle:
2θ (°), d [Å], Rel. int.
21.19, 4.193, 71
30.14, 2.965, 50
33.80, 2.652, 93
37.14, 2.421, 26
40.23, 2.241, 25
48.55, 1.875, 100
53.51, 1.712, 45
53.58, 1.711, 15
55.87, 1.646, 19
71.09, 1.326, 19



Entry 2:
Ge3Rh2S3: computed PXRD pattern (a wavelength of 1.5418 Å), based on a crystal structure in the Materials Project, relaxed with GGA-PBE.
Neutral-atom scattering factors, no anomalous dispersion.

Structure:
```
data_Ge3Rh2S3
_cell_length_a 8.447
_cell_length_b 8.447
_cell_length_c 8.447
_cell_angle_alpha 90.00
_cell_angle_beta 90.00
_cell_angle_gamma 90.00
_symmetry_space_group_name_H-M 'P 1'
_symmetry_Int_Tables_number 1
_symmetry_space_group_name_Hall 'P 1'
loop_
_atom_site_label
_atom_site_fract_x
_atom_site_fract_y
_atom_site_fract_z
Ge1 0.000 0.147 0.330
Ge2 0.000 0.147 0.670
Ge3 0.000 0.853 0.330
Ge4 0.000 0.853 0.670
Ge5 0.147 0.330 0.000
Ge6 0.147 0.670 0.000
Ge7 0.330 0.000 0.147
Ge8 0.330 0.000 0.853
Ge9 0.670 0.000 0.147
Ge10 0.670 0.000 0.853
Ge11 0.853 0.330 0.000
Ge12 0.853 0.670 0.000
Rh1 0.264 0.264 0.264
Rh2 0.264 0.264 0.736
Rh3 0.264 0.736 0.264
Rh4 0.264 0.736 0.736
Rh5 0.736 0.264 0.264
Rh6 0.736 0.264 0.736
Rh7 0.736 0.736 0.264
Rh8 0.736 0.736 0.736
S1 0.170 0.500 0.376
S2 0.170 0.500 0.624
S3 0.376 0.170 0.500
S4 0.376 0.830 0.500
S5 0.500 0.376 0.170
S6 0.500 0.376 0.830
S7 0.500 0.624 0.170
S8 0.500 0.624 0.830
S9 0.624 0.170 0.500
S10 0.624 0.830 0.500
S11 0.830 0.500 0.376
S12 0.830 0.500 0.624
```

Most intense lines, 10° ≤ 2θ ≤ 90°, by angle:
2θ (°), d [Å], Rel. int.
21.03, 4.224, 92
25.83, 3.449, 28
29.92, 2.987, 45
33.55, 2.671, 95
36.86, 2.439, 26
38.42, 2.343, 26
39.93, 2.258, 38
48.17, 1.889, 100
53.11, 1.724, 64
55.46, 1.657, 29



Entry 3:
SmGe2Rh2: computed PXRD pattern (a wavelength of 1.5418 Å), based on a crystal structure in the Materials Project, relaxed with GGA-PBE.
Neutral-atom scattering factors, no anomalous dispersion.

Structure:
```
data_SmGe2Rh2
_cell_length_a 4.169
_cell_length_b 4.169
_cell_length_c 10.492
_cell_angle_alpha 90.00
_cell_angle_beta 90.00
_cell_angle_gamma 90.00
_symmetry_space_group_name_H-M 'P 1'
_symmetry_Int_Tables_number 1
_symmetry_space_group_name_Hall 'P 1'
loop_
_atom_site_label
_atom_site_fract_x
_atom_site_fract_y
_atom_site_fract_z
Sm1 0.000 0.000 0.000
Sm2 0.500 0.500 0.500
Ge1 0.000 0.000 0.377
Ge2 0.000 0.000 0.623
Ge3 0.500 0.500 0.123
Ge4 0.500 0.500 0.877
Rh1 0.000 0.500 0.250
Rh2 0.000 0.500 0.750
Rh3 0.500 0.000 0.250
Rh4 0.500 0.000 0.750
```

Most intense lines, 10° ≤ 2θ ≤ 90°, by angle:
2θ (°), d [Å], Rel. int.
33.44, 2.679, 54
34.91, 2.570, 100
43.41, 2.085, 53
46.33, 1.960, 15
48.57, 1.874, 20
55.88, 1.645, 25
61.67, 1.504, 17
63.07, 1.474, 17
67.16, 1.394, 15
74.16, 1.279, 22



Entry 4:
SmGe4Rh6: computed PXRD pattern (a wavelength of 1.5418 Å), based on a crystal structure in the Materials Project, relaxed with GGA-PBE.
Neutral-atom scattering factors, no anomalous dispersion.

Structure:
```
data_SmGe4Rh6
_cell_length_a 7.231
_cell_length_b 7.231
_cell_length_c 3.881
_cell_angle_alpha 90.00
_cell_angle_beta 90.00
_cell_angle_gamma 120.00
_symmetry_space_group_name_H-M 'P 1'
_symmetry_Int_Tables_number 1
_symmetry_space_group_name_Hall 'P 1'
loop_
_atom_site_label
_atom_site_fract_x
_atom_site_fract_y
_atom_site_fract_z
Sm1 0.000 0.000 0.000
Ge1 0.198 0.395 0.500
Ge2 0.198 0.802 0.500
Ge3 0.605 0.802 0.500
Ge4 0.667 0.333 0.000
Rh1 0.067 0.533 0.000
Rh2 0.400 0.200 0.500
Rh3 0.467 0.533 0.000
Rh4 0.467 0.933 0.000
Rh5 0.800 0.200 0.500
Rh6 0.800 0.600 0.500
```

Most intense lines, 10° ≤ 2θ ≤ 90°, by angle:
2θ (°), d [Å], Rel. int.
33.89, 2.645, 24
36.89, 2.437, 100
38.02, 2.367, 34
44.86, 2.021, 34
46.82, 1.940, 25
49.59, 1.838, 14
50.49, 1.808, 25
61.83, 1.501, 16
71.31, 1.323, 18
80.61, 1.192, 12



Entry 5:
Sm3Ge2Rh2: computed PXRD pattern (a wavelength of 1.5418 Å), based on a crystal structure in the Materials Project, relaxed with GGA-PBE.
Neutral-atom scattering factors, no anomalous dispersion.

Structure:
```
data_Sm3Ge2Rh2
_cell_length_a 5.651
_cell_length_b 8.068
_cell_length_c 13.392
_cell_angle_alpha 90.00
_cell_angle_beta 90.00
_cell_angle_gamma 90.00
_symmetry_space_group_name_H-M 'P 1'
_symmetry_Int_Tables_number 1
_symmetry_space_group_name_Hall 'P 1'
loop_
_atom_site_label
_atom_site_fract_x
_atom_site_fract_y
_atom_site_fract_z
Sm1 0.135 0.241 0.250
Sm2 0.135 0.259 0.750
Sm3 0.356 0.601 0.101
Sm4 0.356 0.601 0.399
Sm5 0.356 0.899 0.601
Sm6 0.356 0.899 0.899
Sm7 0.644 0.101 0.101
Sm8 0.644 0.101 0.399
Sm9 0.644 0.399 0.601
Sm10 0.644 0.399 0.899
Sm11 0.865 0.741 0.250
Sm12 0.865 0.759 0.750
Ge1 0.139 0.250 0.000
Ge2 0.139 0.250 0.500
Ge3 0.358 0.613 0.750
Ge4 0.358 0.887 0.250
Ge5 0.642 0.113 0.750
Ge6 0.642 0.387 0.250
Ge7 0.861 0.750 0.000
Ge8 0.861 0.750 0.500
Rh1 0.129 0.535 0.592
Rh2 0.129 0.535 0.908
Rh3 0.129 0.965 0.092
Rh4 0.129 0.965 0.408
Rh5 0.871 0.035 0.592
Rh6 0.871 0.035 0.908
Rh7 0.871 0.465 0.092
Rh8 0.871 0.465 0.408
```

Most intense lines, 10° ≤ 2θ ≤ 90°, by angle:
2θ (°), d [Å], Rel. int.
29.85, 2.993, 27
33.02, 2.713, 53
33.61, 2.667, 55
33.89, 2.645, 56
34.29, 2.615, 27
34.82, 2.576, 54
37.02, 2.428, 76
39.36, 2.289, 100
40.41, 2.232, 37
55.97, 1.643, 26



Entry 6:
Sm2Ge5Rh3: computed PXRD pattern (a wavelength of 1.5418 Å), based on a crystal structure in the Materials Project, relaxed with GGA-PBE.
Neutral-atom scattering factors, no anomalous dispersion.

Structure:
```
data_Sm2Ge5Rh3
_cell_length_a 8.422
_cell_length_b 8.422
_cell_length_c 5.988
_cell_angle_alpha 109.84
_cell_angle_beta 109.84
_cell_angle_gamma 92.67
_symmetry_space_group_name_H-M 'P 1'
_symmetry_Int_Tables_number 1
_symmetry_space_group_name_Hall 'P 1'
loop_
_atom_site_label
_atom_site_fract_x
_atom_site_fract_y
_atom_site_fract_z
Sm1 0.094 0.367 0.233
Sm2 0.367 0.094 0.733
Sm3 0.633 0.906 0.267
Sm4 0.906 0.633 0.767
Ge1 0.007 0.993 0.750
Ge2 0.237 0.431 0.834
Ge3 0.277 0.723 0.750
Ge4 0.286 0.714 0.250
Ge5 0.431 0.237 0.334
Ge6 0.569 0.763 0.666
Ge7 0.714 0.286 0.750
Ge8 0.723 0.277 0.250
Ge9 0.763 0.569 0.166
Ge10 0.993 0.007 0.250
Rh1 0.040 0.757 0.384
Rh2 0.243 0.960 0.116
Rh3 0.499 0.501 0.250
Rh4 0.501 0.499 0.750
Rh5 0.757 0.040 0.884
Rh6 0.960 0.243 0.616
```

Most intense lines, 10° ≤ 2θ ≤ 90°, by angle:
2θ (°), d [Å], Rel. int.
29.32, 3.046, 13
29.85, 2.993, 14
33.52, 2.673, 39
34.17, 2.624, 47
34.37, 2.609, 100
35.24, 2.547, 30
42.33, 2.135, 77
54.73, 1.677, 12
62.01, 1.497, 15
72.33, 1.306, 13



Entry 7:
Sm3Ge13Rh4: computed PXRD pattern (a wavelength of 1.5418 Å), based on a crystal structure in the Materials Project, relaxed with GGA-PBE.
Neutral-atom scattering factors, no anomalous dispersion.

Structure:
```
data_Sm3Ge13Rh4
_cell_length_a 9.085
_cell_length_b 9.085
_cell_length_c 9.085
_cell_angle_alpha 90.00
_cell_angle_beta 90.00
_cell_angle_gamma 90.00
_symmetry_space_group_name_H-M 'P 1'
_symmetry_Int_Tables_number 1
_symmetry_space_group_name_Hall 'P 1'
loop_
_atom_site_label
_atom_site_fract_x
_atom_site_fract_y
_atom_site_fract_z
Sm1 0.000 0.250 0.500
Sm2 0.000 0.750 0.500
Sm3 0.250 0.500 0.000
Sm4 0.500 0.000 0.250
Sm5 0.500 0.000 0.750
Sm6 0.750 0.500 0.000
Ge1 0.000 0.000 0.000
Ge2 0.000 0.309 0.149
Ge3 0.000 0.309 0.851
Ge4 0.000 0.691 0.149
Ge5 0.000 0.691 0.851
Ge6 0.149 0.000 0.309
Ge7 0.149 0.000 0.691
Ge8 0.191 0.500 0.351
Ge9 0.191 0.500 0.649
Ge10 0.309 0.149 0.000
Ge11 0.309 0.851 0.000
Ge12 0.351 0.191 0.500
Ge13 0.351 0.809 0.500
Ge14 0.500 0.351 0.191
Ge15 0.500 0.351 0.809
Ge16 0.500 0.500 0.500
Ge17 0.500 0.649 0.191
Ge18 0.500 0.649 0.809
Ge19 0.649 0.191 0.500
Ge20 0.649 0.809 0.500
Ge21 0.691 0.149 0.000
Ge22 0.691 0.851 0.000
Ge23 0.809 0.500 0.351
Ge24 0.809 0.500 0.649
Ge25 0.851 0.000 0.309
Ge26 0.851 0.000 0.691
Rh1 0.250 0.250 0.250
Rh2 0.250 0.250 0.750
Rh3 0.250 0.750 0.250
Rh4 0.250 0.750 0.750
Rh5 0.750 0.250 0.250
Rh6 0.750 0.250 0.750
Rh7 0.750 0.750 0.250
Rh8 0.750 0.750 0.750
```

Most intense lines, 10° ≤ 2θ ≤ 90°, by angle:
2θ (°), d [Å], Rel. int.
34.19, 2.623, 21
35.63, 2.520, 100
37.02, 2.428, 40
39.68, 2.271, 31
40.96, 2.203, 11
44.60, 2.032, 12
49.13, 1.855, 22
59.31, 1.558, 12
63.08, 1.474, 14
68.51, 1.370, 22